Cs5Ag: calculated powder diffractogram (a wavelength of 1.5418 Å), based on a DFT-relaxed cell (PBE, Alexandria).
Intensities are scaled so that the largest is 100.

a b c (Å): 14.707 5.684 12.517
angles (deg): 90.00 90.00 90.00
Space group Pmma (No. 51)
Asymmetric unit:
Cs: 0.000 0.000 0.000
Cs: 0.086 0.500 0.309
Cs: 0.250 0.000 0.603
Cs: 0.250 0.500 0.960
Ag: 0.250 0.000 0.177

The 8 most intense peaks (10 to 80 degrees two-theta), sorted by position:
- 2θ = 21.0°, I 100.0
- 2θ = 22.0°, I 96.8
- 2θ = 23.0°, I 34.3
- 2θ = 24.4°, I 75.1
- 2θ = 25.0°, I 46.0
- 2θ = 31.5°, I 41.8
- 2θ = 37.3°, I 33.8
- 2θ = 39.3°, I 40.2